# Ba3Fe10SnO20
Computed PXRD pattern, copper Kα. Input: a DFT-relaxed cell (GGA+U, Alexandria).

Largest 8 diffraction maxima, by angle, 10° ≤ 2θ ≤ 90°:
2θ/deg, I_rel
27.50, 100
27.85, 57
28.19, 77
28.55, 52
29.86, 39
30.10, 38
33.80, 64
54.22, 41

```
Ba3Fe10SnO20
1.0
8.097 -6.030 0.000
8.097 6.030 0.000
-1.651 0.000 5.042
Ba Fe Sn O
3 10 1 20
direct
0.000 0.000 0.000
0.277 0.277 0.267
0.723 0.723 0.733
0.001 0.281 0.654
0.148 0.579 0.836
0.281 0.001 0.654
0.371 0.629 0.500
0.421 0.852 0.164
0.579 0.148 0.836
0.629 0.371 0.500
0.719 0.999 0.346
0.852 0.421 0.164
0.999 0.719 0.346
0.500 0.500 0.000
0.002 0.717 0.987
0.096 0.096 0.515
0.120 0.398 0.669
0.180 0.662 0.572
0.283 0.998 0.013
0.306 0.547 0.120
0.338 0.820 0.428
0.398 0.120 0.669
0.436 0.436 0.597
0.453 0.694 0.880
0.547 0.306 0.120
0.564 0.564 0.403
0.602 0.880 0.331
0.662 0.180 0.572
0.694 0.453 0.880
0.717 0.002 0.987
0.820 0.338 0.428
0.880 0.602 0.331
0.904 0.904 0.485
0.998 0.283 0.013
```